# Ti3Mn2NbP6O24
Computed powder diffraction line list, Cu Kα X-rays. Input: a crystal structure in the Materials Project, relaxed with GGA+U.
Neutral-atom scattering factors, no anomalous dispersion.

```
36
Lattice="4.3843 2.5313 7.0651 -4.3843 2.5313 7.0651 0.0000 -5.0625 7.0651" Properties=species:S:1:pos:R:3 pbc="T T T"
Ti 0.0000 0.0000 0.0000
Ti 0.0000 0.0000 4.4468
Ti 0.0000 0.0000 10.5922
Mn 0.0000 0.0000 7.5002
Mn 0.0000 0.0000 18.1336
Nb 0.0000 0.0000 15.0765
P -1.2395 -2.8349 9.2894
P -2.6000 -0.0024 12.7879
P -1.8353 2.4909 9.2894
P 1.3021 -2.2505 12.7880
P 3.0748 0.3440 9.2894
P 1.2979 2.2529 12.7880
O -0.8467 -3.5943 8.0117
O -1.5431 -0.1365 5.8456
O -3.4984 -1.2686 12.7041
O -0.8171 -3.5858 10.5533
O -2.6894 2.5304 8.0117
O -0.6260 -1.4096 9.1777
O 0.8898 -1.2681 5.8456
O -1.7050 0.0078 11.5451
O -2.6968 2.5005 10.5533
O -0.9077 1.2470 9.1777
O 0.6533 1.4047 5.8456
O -1.7410 -0.0151 14.0815
O 0.8457 -1.4804 11.5451
O -0.9176 -1.2984 16.4662
O 1.5338 0.1626 9.1777
O 0.8836 -1.5002 14.0815
O 0.8592 1.4727 11.5451
O 2.8479 -2.3954 12.7041
O -0.6657 1.4438 16.4662
O 3.5361 1.0639 8.0117
O 0.8574 1.5153 14.0815
O 0.6505 3.6640 12.7041
O 1.5832 -0.1454 16.4662
O 3.5139 1.0853 10.5533
```

Largest 10 diffraction maxima, sorted by position, 2θ from 10° to 90°:
2θ = 20.25°, 4.384 Å, intensity 79
2θ = 23.89°, 3.725 Å, intensity 100
2θ = 24.91°, 3.574 Å, intensity 14
2θ = 31.45°, 2.844 Å, intensity 16
2θ = 32.55°, 2.751 Å, intensity 70
2θ = 35.46°, 2.531 Å, intensity 36
2θ = 46.66°, 1.947 Å, intensity 28
2θ = 48.90°, 1.863 Å, intensity 26
2θ = 55.46°, 1.657 Å, intensity 26
2θ = 61.84°, 1.500 Å, intensity 18

# Li7Mn5O12
Computed powder diffraction line list, Cu Kα X-rays. Input: a crystal structure in the Materials Project, relaxed with GGA+U.
Neutral-atom scattering factors, no anomalous dispersion.

```
24
Lattice="5.3104 0.0000 0.0000 2.2045 5.6503 0.0000 2.1702 1.2808 7.4094" Properties=species:S:1:pos:R:3 pbc="T T T"
Li 0.0000 0.0000 0.0000
Li 3.2270 3.9844 7.3651
Li 2.2874 4.2103 2.5932
Li 4.8048 1.9478 6.1943
Li 7.2499 2.5230 4.9593
Li 8.5418 5.5584 5.0351
Li 6.3763 1.3080 2.5376
Mn 3.6492 1.9814 1.2433
Mn 4.7902 3.3821 3.7757
Mn 5.8821 4.7671 6.2099
Mn 4.7894 4.8361 1.2363
Mn 5.9469 6.2654 3.7826
O 2.9154 3.6654 0.5739
O 2.9368 2.2569 3.0506
O 5.1633 6.4620 5.5717
O 4.0810 5.0674 3.0433
O 2.0567 1.0031 0.7394
O 4.2884 3.8626 5.5860
O 5.2656 3.0094 1.8527
O 7.4921 5.6969 6.8484
O 6.6071 3.0715 6.9033
O 6.6268 5.9759 1.9076
O 5.5359 1.7220 4.3217
O 6.6660 4.5634 4.4364
```

Largest 10 diffraction maxima, sorted by position, 2θ from 10° to 90°:
2θ = 18.32°, 4.843 Å, intensity 100
2θ = 33.75°, 2.656 Å, intensity 14
2θ = 36.37°, 2.470 Å, intensity 23
2θ = 40.34°, 2.236 Å, intensity 33
2θ = 44.51°, 2.035 Å, intensity 52
2θ = 61.42°, 1.509 Å, intensity 8
2θ = 61.59°, 1.506 Å, intensity 15
2θ = 61.88°, 1.499 Å, intensity 7
2θ = 64.49°, 1.445 Å, intensity 7
2θ = 65.06°, 1.434 Å, intensity 7

# MnSnF6
Computed powder diffraction line list, Cu Kα X-rays. Input: a crystal structure in the Materials Project, relaxed with GGA+U.
Neutral-atom scattering factors, no anomalous dispersion.

```
8
Lattice="2.7357 1.5794 4.8121 -2.7357 1.5794 4.8121 0.0000 -3.1589 4.8121" Properties=species:S:1:pos:R:3 pbc="T T T"
Mn 0.0000 0.0000 0.0000
Sn 0.0000 0.0000 7.2182
F -1.6177 0.2500 6.0595
F -1.0253 -1.2759 8.3769
F 0.5923 -1.5259 6.0595
F -0.5923 1.5259 8.3769
F 1.0253 1.2759 6.0595
F 1.6177 -0.2500 8.3769
```

Largest 10 diffraction maxima, sorted by position, 2θ from 10° to 90°:
2θ = 19.72°, 4.502 Å, intensity 15
2θ = 22.45°, 3.961 Å, intensity 100
2θ = 31.15°, 2.871 Å, intensity 26
2θ = 32.74°, 2.736 Å, intensity 15
2θ = 37.83°, 2.378 Å, intensity 15
2θ = 45.81°, 1.981 Å, intensity 19
2θ = 50.52°, 1.807 Å, intensity 28
2θ = 52.66°, 1.738 Å, intensity 16
2θ = 57.44°, 1.604 Å, intensity 12
2θ = 58.43°, 1.579 Å, intensity 10